(1)
For Li3VSi4H2O12, a structure optimized by DFT (PBE+U) gives the calculated powder XRD pattern in this record (Cu Kα, 1.54184 Å).
Intensities are scaled so that the largest is 100.

Crystal structure
```
44
Lattice="7.5427 0.0000 0.0000 0.1085 8.2495 0.0000 0.7701 3.9975 8.1561" Properties=species:S:1:pos:R:3 pbc="T T T"
Li 1.3214 1.6649 1.0708
Li 1.8985 7.6106 4.9719
Li 3.2883 9.8822 7.3012
Li 5.1330 2.3648 0.8549
Li 6.5228 4.6364 3.1842
Li 7.0999 10.5822 7.0854
V 0.0542 4.1247 0.0000
V 3.7714 0.0000 0.0000
Si 0.9747 6.9747 1.4618
Si 2.0219 4.4712 2.5408
Si 2.6042 4.3601 5.5622
Si 3.6322 6.8602 6.8813
Si 4.7892 5.3868 1.2748
Si 5.8171 7.8869 2.5939
Si 6.3994 7.7758 5.6153
Si 7.4466 5.2723 6.6944
H 2.8053 9.8979 4.1567
H 3.2816 8.8861 3.0561
H 5.1397 3.3610 5.1001
H 5.6160 2.3491 3.9994
O 0.4592 6.0657 0.2133
O 1.0899 4.2540 6.1834
O 0.9835 3.4999 1.7967
O 1.3166 5.9725 2.7708
O 2.5226 8.0432 6.9928
O 2.2159 7.9081 1.0449
O 2.4889 3.8695 3.9996
O 2.7153 8.9678 3.8611
O 3.0842 5.9566 5.5663
O 3.6236 3.4028 6.3701
O 3.0922 1.9320 0.0177
O 3.3675 4.6824 1.6488
O 5.0539 7.5646 6.5074
O 5.3291 10.3150 8.1385
O 4.7978 8.8443 1.7861
O 5.3372 6.2904 2.5898
O 5.7060 3.2793 4.2951
O 5.9324 8.3775 4.1565
O 6.2054 4.3389 7.1112
O 5.8987 4.2038 1.1633
O 7.1048 6.2746 5.3853
O 7.4378 8.7471 6.3595
O 7.3314 7.9930 1.9727
O 7.9621 6.1814 7.9428
```

The 8 most intense peaks (10° ≤ 2θ ≤ 80°), low angle first:
| 2θ (°) | I/Imax |
| --- | --- |
| 10.85 | 100 |
| 11.95 | 38 |
| 17.03 | 53 |
| 21.55 | 42 |
| 26.54 | 47 |
| 26.98 | 94 |
| 30.78 | 41 |
| 30.97 | 51 |

(2)
For LiVSi4H2O12, a structure optimized by DFT (PBE+U) gives the calculated powder XRD pattern in this record (Cu Kα, 1.54184 Å).
Intensities are scaled so that the largest is 100.

Crystal structure
```
40
Lattice="7.4003 0.0000 0.0000 -0.2080 8.2747 0.0000 -0.3666 -4.1015 8.0593" Properties=species:S:1:pos:R:3 pbc="T T T"
Li 0.9638 0.4473 2.8576
Li 5.8619 3.7259 5.2018
V -0.1833 -2.0508 4.0297
V 3.4129 2.0866 4.0297
Si 0.5339 3.3783 2.6119
Si 1.5407 5.8309 1.5147
Si 1.5249 1.7255 6.5779
Si 2.5086 -0.7680 5.3863
Si 4.3171 4.9412 2.6731
Si 5.3008 2.4477 1.4815
Si 5.2850 -1.6577 6.5447
Si 6.2918 0.7949 5.4475
H 1.8629 -3.7380 7.9929
H 2.8022 1.3635 0.9702
H 4.0235 2.8097 7.0891
H 4.9628 7.9111 0.0665
O -0.0767 4.3615 3.7770
O 0.0366 1.8926 5.8859
O 0.5157 6.7502 2.3920
O 0.9256 4.3212 1.3377
O 1.4110 -1.8795 4.9410
O 1.8156 6.4597 0.0264
O 1.7862 2.4828 3.1366
O 2.0384 1.2139 0.3789
O 1.9707 0.1461 6.6483
O 2.7397 0.3239 4.1639
O 2.6388 2.5453 5.7101
O 2.9510 5.7289 2.3201
O 3.8747 -1.5557 5.7392
O 4.1869 1.6279 2.3492
O 4.0860 3.8493 3.8954
O 4.8550 4.0271 1.4111
O 4.7873 2.9593 7.6805
O 5.0395 1.6904 4.9227
O 5.0101 -2.2865 8.0329
O 5.4147 6.0527 3.1184
O 5.9001 -0.1480 6.7217
O 6.3100 -2.5770 5.6674
O 6.7891 2.2806 2.1735
O 6.9024 -0.1883 4.2823
```

The 8 most intense peaks (10° ≤ 2θ ≤ 80°), low angle first:
| 2θ (°) | I/Imax |
| --- | --- |
| 10.98 | 100 |
| 12.02 | 73 |
| 17.06 | 63 |
| 19.71 | 43 |
| 21.48 | 41 |
| 27.14 | 75 |
| 31.39 | 42 |
| 31.69 | 33 |

(3)
For Li3VSi4H2O12, a structure optimized by DFT (PBE+U) gives the calculated powder XRD pattern in this record (Cu Kα, 1.54184 Å).
Intensities are scaled so that the largest is 100.

Crystal structure
```
44
Lattice="7.5376 0.0000 0.0000 0.1286 8.1063 0.0000 0.3857 3.8889 8.3431" Properties=species:S:1:pos:R:3 pbc="T T T"
Li 0.7578 2.4725 1.2491
Li 2.9313 10.3552 7.4330
Li 3.0561 3.5693 2.7710
Li 4.9958 8.4259 5.5721
Li 5.1206 1.6399 0.9100
Li 7.2942 9.5226 7.0940
V 0.0000 0.0000 0.0000
V 3.8331 4.0531 0.0000
Si 1.0502 5.2030 1.3815
Si 2.0191 7.7564 2.6318
Si 2.2272 7.6231 5.7294
Si 3.3267 5.0814 6.8537
Si 4.7253 6.9137 1.4893
Si 5.8248 4.3720 2.6137
Si 6.0328 4.2387 5.7112
Si 7.0017 6.7922 6.9616
H 1.5544 3.3514 4.9465
H 1.9728 10.0424 4.2995
H 6.0792 1.9527 4.0435
H 6.4976 8.6437 3.3965
O 0.7627 7.6865 6.4572
O 0.7101 6.0979 0.0809
O 1.0374 8.7008 1.7627
O 1.5632 6.1725 2.6140
O 1.9949 8.2462 4.2158
O 1.9720 2.9092 4.1826
O 2.1348 4.0992 7.3366
O 2.1231 3.9931 1.1345
O 2.7720 6.0838 5.6388
O 3.2909 8.5705 6.5035
O 3.5864 7.9029 2.1699
O 4.0349 5.9846 8.0102
O 4.0170 6.0106 0.3329
O 4.4655 4.0923 6.1731
O 4.7610 3.4246 1.8395
O 5.2799 5.9113 2.7042
O 5.9288 8.0021 7.2086
O 5.9171 7.8959 1.0065
O 6.0799 9.0859 4.1604
O 6.0571 3.7489 4.1272
O 6.4888 5.8227 5.7290
O 7.0145 3.2944 6.5803
O 7.3419 5.8973 8.2622
O 7.2892 4.3086 1.8859
```

The 8 most intense peaks (10° ≤ 2θ ≤ 80°), low angle first:
| 2θ (°) | I/Imax |
| --- | --- |
| 10.60 | 100 |
| 12.05 | 26 |
| 16.87 | 47 |
| 21.93 | 44 |
| 26.34 | 97 |
| 27.00 | 54 |
| 30.80 | 45 |
| 31.04 | 43 |

(4)
For Li3VH16O12, a structure optimized by DFT (PBE+U) gives the calculated powder XRD pattern in this record (Cu Kα, 1.54184 Å).
Intensities are scaled so that the largest is 100.

Crystal structure
```
32
Lattice="5.9825 0.0000 0.0000 0.0893 6.5160 0.0000 0.0825 0.0610 7.3370" Properties=species:S:1:pos:R:3 pbc="T T T"
Li 0.0000 0.0000 0.0000
Li 0.6792 4.0236 3.5132
Li 3.0726 0.7830 5.6587
V 3.5595 3.2432 1.9567
H 0.3751 3.8196 6.1025
H 0.4077 6.5309 2.9013
H 0.7452 0.2394 4.9927
H 0.7873 1.7017 5.6269
H 1.5004 1.2790 1.6351
H 1.5447 4.4380 0.3646
H 3.1152 3.2015 4.7690
H 3.1701 5.5132 3.7045
H 3.3497 3.2580 6.3814
H 3.3217 0.5174 3.1735
H 3.6588 0.5939 0.6487
H 3.7388 5.5950 0.1165
H 5.2095 6.0740 3.8461
H 5.1944 3.0574 5.3358
H 6.0007 1.8823 1.8124
H 6.0338 4.1669 0.9256
O 0.1959 3.2499 5.2922
O 0.2169 5.9615 3.7099
O 0.5220 1.0345 1.5941
O 0.5657 4.6298 0.1908
O 1.0813 0.7557 5.7945
O 2.6677 3.9296 3.2944
O 3.1238 4.0808 0.4832
O 3.1087 1.5544 1.8373
O 3.5663 6.4058 3.9487
O 3.5377 2.7241 5.5451
O 4.0621 0.0663 7.2259
O 5.2892 3.3581 2.1799
```

The 8 most intense peaks (10° ≤ 2θ ≤ 80°), low angle first:
| 2θ (°) | I/Imax |
| --- | --- |
| 12.06 | 59 |
| 13.59 | 40 |
| 14.81 | 31 |
| 27.38 | 48 |
| 27.81 | 59 |
| 28.01 | 66 |
| 29.88 | 100 |
| 31.84 | 56 |

(5)
For Li3VH12O10, a structure optimized by DFT (PBE+U) gives the calculated powder XRD pattern in this record (Cu Kα, 1.54184 Å).
Intensities are scaled so that the largest is 100.

Crystal structure
```
26
Lattice="4.8720 2.8129 2.9197 -4.8720 2.8129 2.9197 0.0000 -5.6257 2.9197" Properties=species:S:1:pos:R:3 pbc="T T T"
Li -3.5860 1.2565 2.9197
Li 0.7048 -3.7339 2.9197
Li 2.8812 2.4773 2.9197
V 0.0000 0.0000 4.9498
H -3.1519 -2.5093 4.2659
H -1.4877 -0.0230 2.4254
H -2.1177 -2.2076 5.4293
H 0.7638 -1.2769 2.4254
H -2.6371 0.9462 5.1641
H 0.7239 1.2999 2.4254
H 0.4991 -2.7570 5.1641
H -0.5971 3.9842 4.2659
H -0.8530 2.9378 5.4293
H 3.7490 -1.4750 4.2659
H 2.9707 -0.7302 5.4293
H 2.1380 1.8107 5.1641
O -3.0650 -2.5031 5.2767
O -3.6005 0.7957 4.8840
O 0.0000 0.0000 3.2046
O 1.1112 -3.5160 4.8840
O -0.5353 -1.5494 5.5605
O -1.0742 1.2383 5.5605
O -0.6353 3.9059 5.2767
O 1.6094 0.3111 5.5605
O 3.7003 -1.4028 5.2767
O 2.4894 2.7203 4.8840
```

The 8 most intense peaks (10° ≤ 2θ ≤ 80°), low angle first:
| 2θ (°) | I/Imax |
| --- | --- |
| 14.58 | 57 |
| 18.21 | 41 |
| 22.88 | 18 |
| 23.40 | 18 |
| 29.81 | 100 |
| 30.62 | 35 |
| 49.50 | 23 |
| 50.56 | 22 |